# 1
Structure and computed powder diffractogram of Na12Cd5Hg2 (a DFT-relaxed cell (PBE, Alexandria); Cu Ka).
Lines closer than 0.1° are merged.

Cell and atoms:
Cell lengths 8.2815, 8.2815, 8.5322 Å; angles 101.07, 101.07, 81.32 degrees
Atoms (fractional coordinates):
Na1 0.1048 0.1048 0.2299
Na2 0.1329 0.6522 0.1128
Na3 0.1506 0.4970 0.6813
Na4 0.3478 0.8671 0.8872
Na5 0.3941 0.3941 0.3420
Na6 0.4970 0.1506 0.6813
Na7 0.5030 0.8494 0.3187
Na8 0.6059 0.6059 0.6580
Na9 0.6522 0.1329 0.1128
Na10 0.8494 0.5030 0.3187
Na11 0.8671 0.3478 0.8872
Na12 0.8952 0.8952 0.7701
Cd1 0.1119 0.1119 0.6297
Cd2 0.2590 0.2590 0.9664
Cd3 0.5000 0.5000 0.0000
Cd4 0.7410 0.7410 0.0336
Cd5 0.8881 0.8881 0.3703
Hg1 0.2396 0.7604 0.5000
Hg2 0.7604 0.2396 0.5000

Main lines, in order of rising 2θ (5 to 70 degrees two-theta):
- d = 6.326 Å, 14.0°, rel. 71
- d = 5.620 Å, 15.8°, rel. 77
- d = 4.517 Å, 19.7°, rel. 58
- d = 2.699 Å, 33.2°, rel. 100
- d = 2.670 Å, 33.6°, rel. 56
- d = 2.373 Å, 37.9°, rel. 46


# 2
Structure and computed powder diffractogram of CaSn4S9 (a DFT-relaxed cell (PBE, Alexandria); Cu Ka).
Lines closer than 0.1° are merged.

Cell and atoms:
Cell lengths 8.2908, 6.8278, 12.3629 Å; angles 90.00, 100.53, 90.00 degrees
Atoms (fractional coordinates):
Ca1 0.0000 0.2211 0.2500
Ca2 0.0000 0.7789 0.7500
Sn1 0.3065 0.2992 0.6632
Sn2 0.3065 0.7008 0.1632
Sn3 0.4294 0.2256 0.0629
Sn4 0.4294 0.7744 0.5629
Sn5 0.5706 0.2256 0.4371
Sn6 0.5706 0.7744 0.9371
Sn7 0.6935 0.2992 0.8368
Sn8 0.6935 0.7008 0.3368
S1 0.0165 0.1568 0.6691
S2 0.0165 0.8432 0.1691
S3 0.1648 0.3830 0.0937
S4 0.1648 0.6170 0.5937
S5 0.2859 0.1008 0.4779
S6 0.2859 0.8992 0.9779
S7 0.3952 0.4350 0.8682
S8 0.3952 0.5650 0.3682
S9 0.5000 0.0313 0.2500
S10 0.5000 0.9687 0.7500
S11 0.6048 0.4350 0.6318
S12 0.6048 0.5650 0.1318
S13 0.7141 0.1008 0.0221
S14 0.7141 0.8992 0.5221
S15 0.8352 0.3830 0.4063
S16 0.8352 0.6170 0.9063
S17 0.9835 0.1568 0.8309
S18 0.9835 0.8432 0.3309

Main lines, in order of rising 2θ (5 to 70 degrees two-theta):
- d = 8.151 Å, 10.9°, rel. 100
- d = 4.495 Å, 19.8°, rel. 75
- d = 3.406 Å, 26.2°, rel. 96
- d = 2.718 Å, 32.9°, rel. 55
- d = 2.560 Å, 35.1°, rel. 58
- d = 2.290 Å, 39.3°, rel. 47


# 3
Structure and computed powder diffractogram of SrPRhF (a DFT-relaxed cell (PBE, Alexandria); Cu Ka).
Lines closer than 0.1° are merged.

Cell and atoms:
Cell lengths 4.0746, 4.0746, 8.6458 Å; angles 90.00, 90.00, 90.00 degrees
Atoms (fractional coordinates):
Sr1 0.2500 0.2500 0.1661
Sr2 0.7500 0.7500 0.8339
P1 0.2500 0.2500 0.6413
P2 0.7500 0.7500 0.3587
Rh1 0.2500 0.7500 0.5000
Rh2 0.7500 0.2500 0.5000
F1 0.2500 0.7500 0.0000
F2 0.7500 0.2500 0.0000

Main lines, in order of rising 2θ (5 to 70 degrees two-theta):
- d = 8.646 Å, 10.2°, rel. 72
- d = 2.965 Å, 30.1°, rel. 68
- d = 2.733 Å, 32.8°, rel. 58
- d = 2.397 Å, 37.5°, rel. 100
- d = 2.037 Å, 44.5°, rel. 60
- d = 1.729 Å, 53.0°, rel. 46


# 4
Structure and computed powder diffractogram of Dy4Er4Tl (a DFT-relaxed cell (PBE, Alexandria); Cu Ka).
Lines closer than 0.1° are merged.

Cell and atoms:
Cell lengths 7.8446, 7.8446, 7.8446 Å; angles 95.52, 95.52, 143.86 degrees
Atoms (fractional coordinates):
Dy1 0.1626 0.1626 0.3253
Dy2 0.1626 0.8374 0.0000
Dy3 0.8374 0.1626 0.0000
Dy4 0.8374 0.8374 0.6747
Er1 0.1639 0.5000 0.6639
Er2 0.5000 0.1639 0.6639
Er3 0.5000 0.8361 0.3361
Er4 0.8361 0.5000 0.3361
Tl1 0.5000 0.5000 0.0000

Main lines, in order of rising 2θ (5 to 70 degrees two-theta):
- d = 2.850 Å, 31.4°, rel. 100
- d = 2.486 Å, 36.1°, rel. 34
- d = 2.433 Å, 36.9°, rel. 16
- d = 1.739 Å, 52.6°, rel. 24
- d = 1.496 Å, 62.0°, rel. 29
- d = 1.473 Å, 63.1°, rel. 14